For ThZr2Ta, a cell relaxed with GGA-PBE gives the theoretical X-ray powder pattern in this record (copper Kα).

Largest 10 diffraction maxima, sorted by position, 2θ = 10–80°:
h k l, Position (°2θ), d [Å], intensity
0 0 2, 22.65, 3.926, 12
1 0 0, 25.49, 3.495, 15
1 0 2, 34.35, 2.611, 100
1 1 0, 36.35, 2.471, 46
1 1 2, 43.25, 2.092, 11
2 0 0, 52.36, 1.748, 16
1 0 4, 53.54, 1.712, 9
1 1 4, 60.20, 1.537, 15
2 1 2, 64.13, 1.452, 34
2 0 4, 72.40, 1.305, 9

```
ThZr2Ta
1.0
3.4950 0.0000 0.0000
0.0000 3.4950 0.0000
0.0000 0.0000 7.8528
Th Zr Ta
1 2 1
direct
0.0000 0.0000 0.0000
0.5000 0.5000 0.2924
0.5000 0.5000 0.7076
0.0000 0.0000 0.5000
```